Diffraction record for MnTlPt6. The PXRD pattern is simulated, not measured: it uses a cell relaxed with GGA-PBE and Cu Kα, 1.54184 Å.
Lines closer than 0.1° are merged.

Largest 6 diffraction maxima, by angle, 2θ = 5–70°:
(1 1 1), 33.50°, I 4
(1 1 2), 38.84°, I 100
(0 0 4), 45.03°, I 16
(2 0 0), 45.21°, I 33
(2 0 4), 65.72°, I 20
(2 2 0), 65.86°, I 11

Cell: 4.011 4.011 8.053 Å, 90.00 90.00 90.00°
Space group P4/mmm (No. 123)
One atom of each set of equivalent atoms:
Mn 0.000 0.000 0.000 (multiplicity 1)
Tl 0.000 0.000 0.500 (multiplicity 1)
Pt 0.000 0.500 0.235 (multiplicity 4)
Pt 0.500 0.500 0.000 (multiplicity 1)
Pt 0.500 0.500 0.500 (multiplicity 1)